(1)
# Cs2Hg5Pd2
Calculated X-ray diffraction stick pattern, copper Kα. Input: a cell relaxed with GGA-PBE.

Cell and atoms:
abc: 7.4400 7.8242 10.4427
angles: 97.44 103.12 90.35
Fractional positions:
Cs: 0.0634 0.1049 0.2060
Cs: 0.3745 0.5656 0.6657
Cs: 0.6255 0.4344 0.3343
Cs: 0.9366 0.8951 0.7940
Hg: 0.0827 0.1750 0.5595
Hg: 0.1560 0.6393 0.2654
Hg: 0.2686 0.2750 0.9583
Hg: 0.3027 0.7058 0.0114
Hg: 0.4572 0.0462 0.7290
Hg: 0.5428 0.9538 0.2710
Hg: 0.6973 0.2942 0.9886
Hg: 0.7314 0.7250 0.0417
Hg: 0.8440 0.3607 0.7346
Hg: 0.9173 0.8250 0.4405
Pd: 0.0000 0.5000 0.0000
Pd: 0.3244 0.9113 0.4614
Pd: 0.5000 0.0000 0.0000
Pd: 0.6756 0.0887 0.5386

Most intense lines, 2θ = 10–90°, sorted by position:
Position (°2θ)  intensity
13.4  85
26.5  100
26.8  44
27.1  45
27.5  34
28.0  41
30.9  47
31.9  37
33.2  47
36.7  43
37.4  68
38.0  46

---

(2)
# Cs3Hg3Pd2
Calculated X-ray diffraction stick pattern, copper Kα. Input: a cell relaxed with GGA-PBE.

Cell and atoms:
abc: 9.5494 16.9962 7.0231
angles: 90.00 90.00 90.00
Fractional positions:
Cs: 0.0434 0.1058 0.1120
Cs: 0.0434 0.3942 0.1120
Cs: 0.2153 0.2500 0.5557
Cs: 0.2847 0.7500 0.0557
Cs: 0.4566 0.6058 0.6120
Cs: 0.4566 0.8942 0.6120
Cs: 0.5434 0.1058 0.3880
Cs: 0.5434 0.3942 0.3880
Cs: 0.7153 0.2500 0.9443
Cs: 0.7847 0.7500 0.4443
Cs: 0.9566 0.6058 0.8880
Cs: 0.9566 0.8942 0.8880
Hg: 0.1468 0.7500 0.5150
Hg: 0.1601 0.0398 0.6204
Hg: 0.1601 0.4602 0.6204
Hg: 0.3399 0.5398 0.1204
Hg: 0.3399 0.9602 0.1204
Hg: 0.3532 0.2500 0.0150
Hg: 0.6468 0.7500 0.9850
Hg: 0.6601 0.0398 0.8796
Hg: 0.6601 0.4602 0.8796
Hg: 0.8399 0.5398 0.3796
Hg: 0.8399 0.9602 0.3796
Hg: 0.8532 0.2500 0.4850
Pd: 0.1261 0.5939 0.3765
Pd: 0.1261 0.9061 0.3765
Pd: 0.3739 0.0939 0.8765
Pd: 0.3739 0.4061 0.8765
Pd: 0.6261 0.5939 0.1235
Pd: 0.6261 0.9061 0.1235
Pd: 0.8739 0.0939 0.6235
Pd: 0.8739 0.4061 0.6235

Most intense lines, 2θ = 10–90°, sorted by position:
Position (°2θ)  intensity
10.4  19
15.7  27
26.2  35
27.1  21
27.5  45
28.1  30
30.9  100
31.3  21
31.4  59
31.6  26
34.4  20
40.4  20

---

(3)
# Cs2Hg2Pd
Calculated X-ray diffraction stick pattern, copper Kα. Input: a cell relaxed with GGA-PBE.

Cell and atoms:
abc: 10.0929 8.5558 10.4078
angles: 90.00 90.00 90.00
Fractional positions:
Cs: 0.1176 0.2500 0.0000
Cs: 0.1176 0.2500 0.5000
Cs: 0.3556 0.7500 0.0000
Cs: 0.3556 0.7500 0.5000
Cs: 0.6444 0.2500 0.0000
Cs: 0.6444 0.2500 0.5000
Cs: 0.8824 0.7500 0.0000
Cs: 0.8824 0.7500 0.5000
Hg: 0.0963 0.5855 0.2500
Hg: 0.0963 0.9145 0.7500
Hg: 0.3581 0.0860 0.2500
Hg: 0.3581 0.4140 0.7500
Hg: 0.6419 0.5860 0.2500
Hg: 0.6419 0.9140 0.7500
Hg: 0.9037 0.0855 0.2500
Hg: 0.9037 0.4145 0.7500
Pd: 0.1302 0.5949 0.7500
Pd: 0.1302 0.9051 0.2500
Pd: 0.8698 0.0949 0.7500
Pd: 0.8698 0.4051 0.2500

Most intense lines, 2θ = 10–90°, sorted by position:
Position (°2θ)  intensity
17.0  16
22.2  33
22.5  18
26.7  100
27.0  44
34.5  29
35.6  22
36.2  48
45.2  19
50.4  16
50.8  36
57.2  14

---

(4)
# Cs4Hg7Pd
Calculated X-ray diffraction stick pattern, copper Kα. Input: a cell relaxed with GGA-PBE.

Cell and atoms:
abc: 8.7857 8.7857 12.4469
angles: 112.65 112.65 35.93
Fractional positions:
Cs: 0.0530 0.0530 0.2455
Cs: 0.2129 0.2129 0.7361
Cs: 0.7871 0.7871 0.2639
Cs: 0.9470 0.9470 0.7545
Hg: 0.0000 0.0000 0.5000
Hg: 0.1662 0.1662 0.0340
Hg: 0.3343 0.3343 0.5075
Hg: 0.3698 0.3698 0.0944
Hg: 0.6302 0.6302 0.9056
Hg: 0.6657 0.6657 0.4925
Hg: 0.8338 0.8338 0.9660
Pd: 0.5000 0.5000 0.5000

Most intense lines, 2θ = 10–90°, sorted by position:
Position (°2θ)  intensity
11.0  27
15.6  40
24.9  39
25.5  18
27.4  100
27.5  24
28.2  49
31.4  22
32.2  42
33.1  59
33.9  24
46.8  34

---

(5)
# Cs6Rb2HgPd
Calculated X-ray diffraction stick pattern, copper Kα. Input: a cell relaxed with GGA-PBE.

Cell and atoms:
abc: 10.4846 10.4846 10.4814
angles: 119.96 119.96 90.05
Fractional positions:
Cs: 0.0000 0.0000 0.0000
Cs: 0.9997 0.9997 0.4687
Cs: 0.9998 0.4687 0.4691
Cs: 0.4683 0.4683 0.9379
Cs: 0.4687 0.9998 0.4691
Cs: 0.4688 0.4688 0.4687
Rb: 0.4845 0.9836 0.9690
Rb: 0.9836 0.4845 0.9690
Hg: 0.7346 0.7346 0.4690
Pd: 0.2342 0.2342 0.4689

Most intense lines, 2θ = 10–90°, sorted by position:
Position (°2θ)  intensity
11.9  50
16.9  16
20.7  49
24.0  100
26.9  28
34.2  77
36.3  16
40.3  22
42.2  28
55.4  35
61.2  25
77.2  15

---

(6)
# Cs4Hg2Sb2Pd
Calculated X-ray diffraction stick pattern, copper Kα. Input: a cell relaxed with GGA-PBE.

Cell and atoms:
abc: 8.3497 8.3497 6.5663
angles: 97.79 97.79 70.31
Fractional positions:
Cs: 0.1337 0.6376 0.7390
Cs: 0.3624 0.8663 0.2610
Cs: 0.6376 0.1337 0.7390
Cs: 0.8663 0.3624 0.2610
Hg: 0.3424 0.3424 0.1848
Hg: 0.6576 0.6576 0.8152
Sb: 0.1564 0.1564 0.7792
Sb: 0.8436 0.8436 0.2208
Pd: 0.0000 0.0000 0.5000

Most intense lines, 2θ = 10–90°, sorted by position:
Position (°2θ)  intensity
18.6  10
25.4  100
26.5  20
27.5  21
27.8  43
31.9  11
35.1  22
37.4  19
44.6  20
46.1  19
52.3  14
57.4  15

---

(7)
# Cs2Tl2Hg4Pd
Calculated X-ray diffraction stick pattern, copper Kα. Input: a cell relaxed with GGA-PBE.

Cell and atoms:
abc: 7.3575 7.3575 7.3575
angles: 113.30 113.30 102.06
Fractional positions:
Cs: 0.2500 0.7500 0.5000
Cs: 0.7500 0.2500 0.5000
Tl: 0.1864 0.1864 0.0000
Tl: 0.8136 0.8136 0.0000
Hg: 0.2563 0.2563 0.5125
Hg: 0.2563 0.7437 0.0000
Hg: 0.7437 0.2563 0.0000
Hg: 0.7437 0.7437 0.4875
Pd: 0.5000 0.5000 0.0000

Most intense lines, 2θ = 10–90°, sorted by position:
Position (°2θ)  intensity
15.5  9
29.3  100
31.0  15
31.3  69
38.3  13
38.9  11
44.8  26
50.3  10
50.8  20
54.5  36
60.8  11
74.1  12

---

(8)
# Cs2PmHg2Se4
Calculated X-ray diffraction stick pattern, copper Kα. Input: a cell relaxed with GGA-PBE.

Cell and atoms:
abc: 8.7828 8.7828 8.8788
angles: 111.36 111.36 28.60
Fractional positions:
Cs: 0.1283 0.1283 0.0683
Cs: 0.8717 0.8717 0.9317
Pm: 0.0000 0.0000 0.5000
Hg: 0.3123 0.3123 0.4857
Hg: 0.6877 0.6877 0.5143
Se: 0.1840 0.1840 0.7112
Se: 0.4760 0.4760 0.7124
Se: 0.5240 0.5240 0.2876
Se: 0.8160 0.8160 0.2888

Most intense lines, 2θ = 10–90°, sorted by position:
Position (°2θ)  intensity
10.8  100
21.6  27
26.2  63
28.5  35
30.1  96
31.2  53
34.1  22
37.1  29
37.4  25
41.6  35
43.2  20
47.6  37

---

(9)
# Cs2PrHg2S4
Calculated X-ray diffraction stick pattern, copper Kα. Input: a cell relaxed with GGA-PBE.

Cell and atoms:
abc: 8.5846 8.5846 8.6181
angles: 111.40 111.40 28.33
Fractional positions:
Cs: 0.1276 0.1276 0.0621
Cs: 0.8724 0.8724 0.9379
Pr: 0.0000 0.0000 0.5000
Hg: 0.3118 0.3118 0.4798
Hg: 0.6882 0.6882 0.5202
S: 0.1843 0.1843 0.7108
S: 0.4719 0.4719 0.7075
S: 0.5281 0.5281 0.2925
S: 0.8157 0.8157 0.2892

Most intense lines, 2θ = 10–90°, sorted by position:
Position (°2θ)  intensity
11.1  100
22.3  68
27.0  94
29.3  31
31.0  70
32.1  75
36.3  23
38.3  28
38.5  23
43.1  30
47.4  23
49.1  32

---

(10)
# Cs4HgPt
Calculated X-ray diffraction stick pattern, copper Kα. Input: a cell relaxed with GGA-PBE.

Cell and atoms:
abc: 10.7591 10.7591 7.5266
angles: 106.04 106.04 52.53
Fractional positions:
Cs: 0.1354 0.6136 0.4033
Cs: 0.2273 0.7727 0.0000
Cs: 0.3342 0.3342 0.8771
Cs: 0.3864 0.8646 0.5967
Cs: 0.6136 0.1354 0.4033
Cs: 0.6658 0.6658 0.1229
Cs: 0.7727 0.2273 0.0000
Cs: 0.8646 0.3864 0.5967
Hg: 0.1853 0.1853 0.1829
Hg: 0.8147 0.8147 0.8171
Pt: 0.4999 0.4999 0.3218
Pt: 0.5001 0.5001 0.6782

Most intense lines, 2θ = 10–90°, sorted by position:
Position (°2θ)  intensity
10.5  48
15.0  26
17.2  25
23.7  48
26.0  93
26.1  22
26.4  19
27.1  100
29.2  28
31.3  27
37.8  30
48.6  28

---

(11)
# CsHg6Pt2
Calculated X-ray diffraction stick pattern, copper Kα. Input: a cell relaxed with GGA-PBE.

Cell and atoms:
abc: 5.3787 5.3787 10.7548
angles: 90.00 90.00 90.00
Fractional positions:
Cs: 0.0000 0.0000 0.0000
Hg: 0.0000 0.5000 0.2691
Hg: 0.0000 0.5000 0.7309
Hg: 0.5000 0.0000 0.2691
Hg: 0.5000 0.0000 0.7309
Hg: 0.5000 0.5000 0.0000
Hg: 0.5000 0.5000 0.5000
Pt: 0.5000 0.5000 0.2502
Pt: 0.5000 0.5000 0.7498

Most intense lines, 2θ = 10–90°, sorted by position:
Position (°2θ)  intensity
16.5  79
28.8  59
33.3  100
37.4  43
47.8  71
50.9  22
56.8  24
59.5  24
70.0  11
72.5  12
79.7  30
89.2  23

---

(12)
# Cs3Hg6Pt
Calculated X-ray diffraction stick pattern, copper Kα. Input: a cell relaxed with GGA-PBE.

Cell and atoms:
abc: 9.0352 9.0352 9.0352
angles: 120.12 119.83 90.04
Fractional positions:
Cs: 0.0000 0.0000 0.0000
Cs: 0.2500 0.7500 0.5000
Cs: 0.7500 0.2500 0.5000
Hg: 0.2846 0.2846 0.0000
Hg: 0.2847 0.2847 0.5694
Hg: 0.2847 0.7153 0.0000
Hg: 0.7153 0.2847 0.0000
Hg: 0.7154 0.7154 0.0000
Hg: 0.7153 0.7153 0.4306
Pt: 0.5000 0.5000 0.0000

Most intense lines, 2θ = 10–90°, sorted by position:
Position (°2θ)  intensity
12.0  34
13.9  46
19.6  12
24.1  75
27.9  100
30.5  11
31.3  12
36.5  31
39.8  11
39.9  54
51.0  15
65.3  13

---

What is the formula in the eleventh record?
CsHg6Pt2